Calculated X-ray powder pattern
Compound: Mg3Si4
Radiation: Cu Kα (λ = 1.5418 Å)
Structure: a structure optimized by DFT (PBE)

Structural model:
a = 7.9605 Å, b = 4.3032 Å, c = 7.9657 Å
α = 90.00°, β = 109.90°, γ = 90.00°
Fractional coordinates of all 14 atoms:
Mg 0.0000 0.0000 0.0000
Mg 0.0061 0.0000 0.5961
Mg 0.0202 0.5000 0.3007
Mg 0.3253 0.0000 0.3975
Mg 0.6359 0.5000 0.9750
Mg 0.6475 0.5000 0.3907
Si 0.1293 0.5000 0.8388
Si 0.2887 0.5000 0.6361
Si 0.2997 0.5000 0.1490
Si 0.4128 0.0000 0.7806
Si 0.4596 0.0000 0.0949
Si 0.6558 0.0000 0.6666
Si 0.7886 0.0000 0.2311
Si 0.8183 0.5000 0.7473

Top 10 peaks for 2θ = 5–70°, low angle first:
- 23.79 deg, I = 20
- 31.68 deg, I = 42
- 34.52 deg, I = 81
- 35.99 deg, I = 18
- 36.78 deg, I = 100
- 39.90 deg, I = 72
- 41.86 deg, I = 24
- 41.99 deg, I = 69
- 45.78 deg, I = 20
- 50.72 deg, I = 20



Calculated X-ray powder pattern
Compound: Mg2Si3
Radiation: Cu Kα (λ = 1.5418 Å)
Structure: a structure optimized by DFT (PBE)

Structural model:
a = 3.9341 Å, b = 5.8610 Å, c = 17.0069 Å
α = 93.29°, β = 95.77°, γ = 99.45°
Fractional coordinates of all 20 atoms:
Mg 0.0542 0.0573 0.1904
Mg 0.0600 0.2772 0.0337
Mg 0.1348 0.4545 0.3408
Mg 0.2950 0.7681 0.5320
Mg 0.7050 0.2319 0.4680
Mg 0.8652 0.5455 0.6592
Mg 0.9400 0.7228 0.9663
Mg 0.9458 0.9427 0.8096
Si 0.1026 0.9990 0.3587
Si 0.2087 0.5459 0.1868
Si 0.2732 0.2921 0.5809
Si 0.3133 0.3942 0.8935
Si 0.4797 0.1507 0.7132
Si 0.4910 0.0288 0.9258
Si 0.5090 0.9712 0.0742
Si 0.5203 0.8493 0.2868
Si 0.6867 0.6058 0.1065
Si 0.7268 0.7079 0.4191
Si 0.7913 0.4541 0.8132
Si 0.8974 0.0010 0.6413

Top 10 peaks for 2θ = 5–70°, low angle first:
- 15.87 deg, I = 35
- 33.60 deg, I = 54
- 35.84 deg, I = 33
- 35.99 deg, I = 34
- 36.40 deg, I = 75
- 37.09 deg, I = 64
- 37.31 deg, I = 85
- 37.41 deg, I = 100
- 43.24 deg, I = 56
- 46.82 deg, I = 36



Calculated X-ray powder pattern
Compound: Mg5Si6
Radiation: Cu Kα (λ = 1.5418 Å)
Structure: a structure optimized by DFT (PBE)

Structural model:
a = 4.9275 Å, b = 6.4730 Å, c = 13.8490 Å
α = 87.66°, β = 80.48°, γ = 80.83°
Fractional coordinates of all 22 atoms:
Mg 0.0000 0.0000 0.0000
Mg 0.0048 0.5027 0.1059
Mg 0.2172 0.7207 0.5532
Mg 0.2694 0.5633 0.8738
Mg 0.3997 0.2236 0.6170
Mg 0.4694 0.2306 0.3799
Mg 0.4986 0.7505 0.0466
Mg 0.5576 0.7356 0.3359
Mg 0.5655 0.0571 0.8385
Mg 0.8710 0.4323 0.4737
Si 0.0081 0.0404 0.3909
Si 0.0503 0.2366 0.7959
Si 0.0835 0.9296 0.2208
Si 0.1132 0.5826 0.2955
Si 0.1352 0.8701 0.7465
Si 0.4452 0.1897 0.0355
Si 0.4948 0.4110 0.1848
Si 0.5880 0.0360 0.1891
Si 0.6858 0.8852 0.5120
Si 0.7023 0.7924 0.6871
Si 0.7562 0.4027 0.9400
Si 0.8279 0.4209 0.6691

Top 10 peaks for 2θ = 5–70°, low angle first:
- 31.10 deg, I = 71
- 34.58 deg, I = 82
- 35.06 deg, I = 70
- 35.95 deg, I = 81
- 36.10 deg, I = 78
- 37.60 deg, I = 65
- 37.94 deg, I = 100
- 38.30 deg, I = 80
- 41.06 deg, I = 67
- 43.71 deg, I = 75



Calculated X-ray powder pattern
Compound: Mg4Si3
Radiation: Cu Kα (λ = 1.5418 Å)
Structure: a structure optimized by DFT (PBE)

Structural model:
a = 6.1083 Å, b = 6.6716 Å, c = 7.5592 Å
α = 105.97°, β = 100.47°, γ = 101.26°
Fractional coordinates of all 14 atoms:
Mg 0.0000 0.0000 0.0000
Mg 0.0253 0.6962 0.5606
Mg 0.0952 0.6067 0.1461
Mg 0.2214 0.3625 0.7667
Mg 0.3650 0.0543 0.4399
Mg 0.5177 0.6719 0.5815
Mg 0.5951 0.3393 0.2163
Mg 0.8314 0.9911 0.3728
Si 0.1455 0.3396 0.3516
Si 0.3841 0.0117 0.8077
Si 0.4389 0.9013 0.0874
Si 0.6392 0.6272 0.0312
Si 0.7483 0.1178 0.7287
Si 0.8158 0.5029 0.7759

Top 10 peaks for 2θ = 5–70°, low angle first:
- 31.77 deg, I = 58
- 33.08 deg, I = 100
- 34.26 deg, I = 61
- 34.84 deg, I = 97
- 35.26 deg, I = 41
- 37.50 deg, I = 86
- 39.34 deg, I = 41
- 41.95 deg, I = 61
- 43.85 deg, I = 39
- 44.14 deg, I = 48



Calculated X-ray powder pattern
Compound: Mg5Si6
Radiation: Cu Kα (λ = 1.5418 Å)
Structure: a structure optimized by DFT (PBE)

Structural model:
a = 5.1156 Å, b = 5.4048 Å, c = 14.6608 Å
α = 98.35°, β = 99.94°, γ = 91.01°
Fractional coordinates of all 22 atoms:
Mg 0.0000 0.0000 0.0000
Mg 0.0219 0.4440 0.4834
Mg 0.0546 0.0041 0.6065
Mg 0.3756 0.7928 0.2346
Mg 0.4551 0.3784 0.3646
Mg 0.4960 0.2428 0.9318
Mg 0.5952 0.8705 0.7327
Mg 0.8017 0.5262 0.1162
Mg 0.8926 0.1257 0.2528
Mg 0.9317 0.4616 0.8518
Si 0.1195 0.9728 0.8014
Si 0.2265 0.9550 0.4278
Si 0.2469 0.5675 0.0380
Si 0.3212 0.2703 0.1687
Si 0.3787 0.3564 0.7513
Si 0.4431 0.7291 0.8937
Si 0.5362 0.7192 0.5390
Si 0.5456 0.9557 0.0776
Si 0.5773 0.2933 0.6047
Si 0.7257 0.9467 0.4208
Si 0.9307 0.6443 0.3121
Si 0.9937 0.5460 0.6707

Top 10 peaks for 2θ = 5–70°, low angle first:
- 34.57 deg, I = 52
- 35.46 deg, I = 45
- 37.38 deg, I = 82
- 37.89 deg, I = 34
- 38.85 deg, I = 45
- 38.91 deg, I = 100
- 39.47 deg, I = 44
- 40.22 deg, I = 45
- 41.18 deg, I = 48
- 42.71 deg, I = 39



Calculated X-ray powder pattern
Compound: Mg2Si3
Radiation: Cu Kα (λ = 1.5418 Å)
Structure: a structure optimized by DFT (PBE)

Structural model:
a = 3.7108 Å, b = 5.7436 Å, c = 19.3515 Å
α = 89.22°, β = 86.10°, γ = 74.63°
Fractional coordinates of all 20 atoms:
Mg 0.0000 0.0000 0.0000
Mg 0.0033 0.7142 0.4070
Mg 0.1021 0.3512 0.7723
Mg 0.4687 0.7852 0.2598
Mg 0.5851 0.4536 0.6384
Mg 0.7000 0.2751 0.4834
Mg 0.8350 0.8405 0.8553
Mg 0.9096 0.1390 0.1554
Si 0.0373 0.6227 0.1595
Si 0.0531 0.5838 0.5403
Si 0.1529 0.4831 0.9535
Si 0.2843 0.2959 0.2591
Si 0.2923 0.0265 0.6658
Si 0.3418 0.0912 0.3780
Si 0.4088 0.3878 0.0642
Si 0.4221 0.7334 0.7566
Si 0.5075 0.7719 0.0908
Si 0.7257 0.3769 0.3415
Si 0.7392 0.3085 0.8959
Si 0.8449 0.9662 0.5908

Top 10 peaks for 2θ = 5–70°, low angle first:
- 27.75 deg, I = 49
- 28.06 deg, I = 85
- 33.66 deg, I = 56
- 35.36 deg, I = 100
- 36.32 deg, I = 61
- 39.40 deg, I = 80
- 39.95 deg, I = 96
- 43.26 deg, I = 58
- 46.54 deg, I = 51
- 49.33 deg, I = 69



Calculated X-ray powder pattern
Compound: Mg3Si4
Radiation: Cu Kα (λ = 1.5418 Å)
Structure: a structure optimized by DFT (PBE)

Structural model:
a = 4.5048 Å, b = 7.8993 Å, c = 7.9221 Å
α = 99.41°, β = 104.85°, γ = 95.04°
Fractional coordinates of all 14 atoms:
Mg 0.0000 0.0000 0.0000
Mg 0.0332 0.4055 0.2141
Mg 0.1374 0.1471 0.4779
Mg 0.3596 0.3361 0.9064
Mg 0.7043 0.4423 0.5779
Mg 0.7503 0.8258 0.5493
Si 0.1004 0.7815 0.2733
Si 0.2173 0.6378 0.5374
Si 0.3549 0.9223 0.7461
Si 0.4737 0.7364 0.9547
Si 0.5230 0.2210 0.2396
Si 0.5923 0.9217 0.2366
Si 0.7310 0.1605 0.7324
Si 0.9559 0.6085 0.9673

Top 10 peaks for 2θ = 5–70°, low angle first:
- 11.46 deg, I = 41
- 29.98 deg, I = 37
- 35.86 deg, I = 33
- 36.82 deg, I = 78
- 38.75 deg, I = 66
- 39.80 deg, I = 59
- 40.19 deg, I = 100
- 40.93 deg, I = 36
- 43.01 deg, I = 37
- 48.47 deg, I = 37



Calculated X-ray powder pattern
Compound: Mg4Si3
Radiation: Cu Kα (λ = 1.5418 Å)
Structure: a structure optimized by DFT (PBE)

Structural model:
a = 6.0575 Å, b = 7.0881 Å, c = 13.3044 Å
α = 97.56°, β = 97.10°, γ = 105.33°
Fractional coordinates of all 28 atoms:
Mg 0.0000 0.0000 0.0000
Mg 0.0103 0.1325 0.6337
Mg 0.0702 0.5737 0.1011
Mg 0.2020 0.7597 0.6049
Mg 0.3166 0.6411 0.3451
Mg 0.3320 0.7743 0.9197
Mg 0.3478 0.1412 0.8244
Mg 0.4329 0.5100 0.7369
Mg 0.4702 0.1993 0.3501
Mg 0.5281 0.1617 0.5971
Mg 0.6366 0.7472 0.1358
Mg 0.6455 0.2288 0.0391
Mg 0.6673 0.6970 0.5619
Mg 0.7850 0.5863 0.3261
Mg 0.9151 0.3042 0.8549
Mg 0.9263 0.2070 0.2605
Si 0.0756 0.8799 0.2479
Si 0.1173 0.9747 0.4398
Si 0.2580 0.3769 0.4959
Si 0.3307 0.4177 0.9813
Si 0.3690 0.9904 0.1443
Si 0.3822 0.3733 0.1749
Si 0.5973 0.9188 0.7530
Si 0.7118 0.9589 0.4267
Si 0.7157 0.5841 0.9456
Si 0.8730 0.4033 0.5017
Si 0.9124 0.4945 0.6947
Si 0.9555 0.8399 0.7717

Top 10 peaks for 2θ = 5–70°, low angle first:
- 34.36 deg, I = 74
- 34.77 deg, I = 70
- 34.93 deg, I = 100
- 36.13 deg, I = 45
- 36.47 deg, I = 69
- 36.56 deg, I = 42
- 37.27 deg, I = 93
- 37.69 deg, I = 75
- 38.95 deg, I = 41
- 41.80 deg, I = 42



Calculated X-ray powder pattern
Compound: Mg2Si3
Radiation: Cu Kα (λ = 1.5418 Å)
Structure: a structure optimized by DFT (PBE)

Structural model:
a = 4.3314 Å, b = 5.5001 Å, c = 8.2954 Å
α = 100.63°, β = 91.47°, γ = 101.78°
Fractional coordinates of all 10 atoms:
Mg 0.1527 0.2258 0.1994
Mg 0.2000 0.3390 0.5803
Mg 0.8000 0.6610 0.4197
Mg 0.8473 0.7742 0.8006
Si 0.0104 0.6554 0.1206
Si 0.3701 0.8696 0.6004
Si 0.4511 0.1274 0.8832
Si 0.5489 0.8726 0.1168
Si 0.6299 0.1304 0.3996
Si 0.9896 0.3446 0.8794

Top 10 peaks for 2θ = 5–70°, low angle first:
- 29.73 deg, I = 100
- 31.49 deg, I = 48
- 33.95 deg, I = 48
- 36.16 deg, I = 59
- 38.23 deg, I = 51
- 39.61 deg, I = 48
- 43.48 deg, I = 58
- 43.89 deg, I = 42
- 44.55 deg, I = 38
- 45.35 deg, I = 48



Calculated X-ray powder pattern
Compound: Mg4Si3
Radiation: Cu Kα (λ = 1.5418 Å)
Structure: a structure optimized by DFT (PBE)

Structural model:
a = 6.9895 Å, b = 7.1317 Å, c = 7.3884 Å
α = 66.30°, β = 61.92°, γ = 64.30°
Fractional coordinates of all 14 atoms:
Mg 0.0000 0.0000 0.0000
Mg 0.0047 0.5390 0.2599
Mg 0.1793 0.9883 0.3137
Mg 0.3545 0.6434 0.6899
Mg 0.4722 0.0500 0.7274
Mg 0.4977 0.2596 0.0206
Mg 0.6724 0.3447 0.2723
Mg 0.8361 0.5677 0.7318
Si 0.1168 0.3251 0.9603
Si 0.3849 0.6713 0.0679
Si 0.6055 0.9360 0.3570
Si 0.6613 0.7805 0.0875
Si 0.7708 0.2987 0.6027
Si 0.9136 0.9154 0.7334

Top 10 peaks for 2θ = 5–70°, low angle first:
- 14.03 deg, I = 37
- 35.10 deg, I = 100
- 36.53 deg, I = 29
- 36.94 deg, I = 46
- 37.48 deg, I = 37
- 38.15 deg, I = 75
- 39.89 deg, I = 61
- 40.04 deg, I = 28
- 41.75 deg, I = 24
- 42.97 deg, I = 45



Calculated X-ray powder pattern
Compound: Mg2Si3
Radiation: Cu Kα (λ = 1.5418 Å)
Structure: a structure optimized by DFT (PBE)

Structural model:
a = 5.4347 Å, b = 5.7881 Å, c = 12.2828 Å
α = 85.75°, β = 81.13°, γ = 74.43°
Fractional coordinates of all 20 atoms:
Mg 0.0000 0.0000 0.0000
Mg 0.9995 0.0784 0.5312
Mg 0.1376 0.8131 0.7684
Mg 0.3105 0.8750 0.2962
Mg 0.6857 0.6976 0.7096
Mg 0.7579 0.5498 0.9963
Mg 0.8600 0.7765 0.2406
Mg 0.9706 0.6022 0.4845
Si 0.0570 0.3208 0.7851
Si 0.2190 0.5209 0.0818
Si 0.2846 0.3686 0.3158
Si 0.3542 0.2650 0.6119
Si 0.3915 0.3966 0.8928
Si 0.4166 0.6520 0.5471
Si 0.5208 0.9645 0.8975
Si 0.5569 0.1992 0.1490
Si 0.5589 0.0329 0.4467
Si 0.6738 0.4102 0.3810
Si 0.6885 0.1873 0.7341
Si 0.9631 0.2652 0.1954

Top 10 peaks for 2θ = 5–70°, low angle first:
- 15.90 deg, I = 22
- 33.16 deg, I = 26
- 33.32 deg, I = 19
- 35.78 deg, I = 32
- 35.93 deg, I = 100
- 36.36 deg, I = 71
- 38.55 deg, I = 79
- 40.48 deg, I = 61
- 43.80 deg, I = 42
- 46.99 deg, I = 22